The following is a calculated PXRD pattern of Mg6AlNiO8. It was derived from a DFT-relaxed cell (GGA+U, Alexandria), using Cu Kα (weighted mean of Kα1 and Kα2).
Neutral-atom scattering factors, no anomalous dispersion.

Principal peaks in the range 2θ from 10° to 90°, in order of rising 2θ:
- 10.1°, I 13
- 36.7°, I 33
- 41.3°, I 52
- 43.2°, I 100
- 61.3°, I 56
- 62.8°, I 28
- 74.9°, I 12
- 78.0°, I 25

Crystal structure
```
data_Mg6AlNiO8
_cell_length_a 4.187
_cell_length_b 4.187
_cell_length_c 8.736
_cell_angle_alpha 90.00
_cell_angle_beta 90.00
_cell_angle_gamma 90.00
_symmetry_space_group_name_H-M 'P 4/m m m'
_symmetry_Int_Tables_number 123
_symmetry_space_group_name_Hall '-P 4 2'
loop_
_atom_site_label
_atom_site_fract_x
_atom_site_fract_y
_atom_site_fract_z
Mg1 0.000 0.000 0.000
Mg2 0.000 0.000 0.500
Mg3 0.000 0.500 0.242
Al1 0.500 0.500 0.500
Ni1 0.500 0.500 0.000
O1 0.000 0.000 0.250
O2 0.000 0.500 0.000
O3 0.000 0.500 0.500
O4 0.500 0.500 0.292
```